This entry pairs a crystal structure of MnHgBO2 with its simulated powder X-ray diffraction pattern. Radiation: Cu Kα. Structure: the PBE+U geometry in Alexandria.
Neutral-atom scattering factors, no anomalous dispersion.

Most intense lines, 2θ = 10–90°, low angle first:
h k l  Position (°2θ)  d_spacing  Rel. int.
0 0 1  17.22  5.151  1000
1 0 0  25.16  3.540  331
1 0 1  30.65  2.917  531
0 0 2  34.84  2.575  366
1 1 0  35.88  2.503  408
1 1 1  40.05  2.251  888
1 1 2  50.87  1.795  309
2 0 0  51.65  1.770  228
2 0 1  54.85  1.674  221
2 0 2  63.81  1.459  235
1 1 3  65.98  1.416  193
3 1 1  89.63  1.094  174

Crystal structure
a = 3.540 Å, b = 3.540 Å, c = 5.151 Å
α = 90.00°, β = 90.00°, γ = 90.00°
Space group P4/mmm (No. 123)
One atom of each set of equivalent atoms:
Mn (0.000, 0.000, 0.000) x1
Hg (0.500, 0.500, 0.000) x1
B (0.000, 0.000, 0.500) x1
O (0.000, 0.500, 0.500) x2